Diffraction record for Sr2Ag2TeSeF2. The X-ray powder pattern is calculated, not measured: it uses a PBE-relaxed structure and a wavelength of 1.5418 Å.

Largest 12 diffraction maxima, in order of rising 2θ, 10 to 80 degrees two-theta:
2θ (°)  intensity  h k l
28.25  74.7  1 0 2
31.15  35.3  1 1 1
35.36  100.0  1 1 2
35.53  15.8  1 0 3
41.55  12.7  1 1 3
42.39  56.6  2 0 0
43.96  18.3  1 0 4
49.12  21.8  1 1 4
51.72  27.3  2 1 2
61.50  18.0  2 2 0
66.24  12.7  2 0 5
72.98  21.9  3 1 2

Structural model:
Unit cell a=4.2644 b=4.2644 c=9.4085 alpha=90.00 beta=90.00 gamma=90.00
Space group P4mm (No. 99)
Unique sites:
Sr 0.0000 0.0000 0.0000
Sr 0.5000 0.5000 0.2871
Ag 0.0000 0.5000 0.6664
Te 0.0000 0.0000 0.4603
Se 0.5000 0.5000 0.8573
F 0.0000 0.5000 0.1461

Diffraction record for Tb3Ag3F2. The X-ray powder pattern is calculated, not measured: it uses a PBE-relaxed structure and a wavelength of 1.5418 Å.

Largest 12 diffraction maxima, in order of rising 2θ, 10 to 80 degrees two-theta:
2θ (°)  intensity  h k l
21.86  52.2  1 0 0
26.07  38.2  1 0 2
28.28  70.1  0 0 4
31.11  100.0  1 1 0
36.03  27.6  1 0 4
42.54  88.7  1 1 4
44.58  44.6  2 0 0
53.63  46.0  2 0 4
67.74  21.5  1 1 8
72.23  18.6  2 2 4
73.69  16.6  3 1 0
76.43  16.3  2 0 8

Structural model:
Unit cell a=4.0652 b=4.0652 c=12.6239 alpha=90.00 beta=90.00 gamma=90.00
Space group P-4m2 (No. 115)
Unique sites:
Tb 0.0000 0.0000 0.0000
Tb 0.0000 0.0000 0.2615
Ag 0.0000 0.0000 0.5000
Ag 0.5000 0.5000 0.0000
Ag 0.5000 0.5000 0.5000
F 0.0000 0.5000 0.6953

Diffraction record for YAgF4. The X-ray powder pattern is calculated, not measured: it uses a PBE-relaxed structure and a wavelength of 1.5418 Å.

Largest 12 diffraction maxima, in order of rising 2θ, 10 to 80 degrees two-theta:
2θ (°)  intensity  h k l
28.57  100.0  1 1 2
32.96  12.9  2 0 0
33.39  6.1  0 0 4
47.31  21.6  2 2 0
47.63  42.9  2 0 4
56.20  28.1  3 1 2
56.76  13.6  1 1 6
59.14  5.6  2 2 4
69.14  6.0  4 0 0
70.14  3.0  0 0 8
76.45  5.5  3 3 2
76.93  10.8  3 1 6

Structural model:
Unit cell a=5.4348 b=5.4348 c=10.7338 alpha=90.00 beta=90.00 gamma=90.00
Space group I4_1/a (No. 88, origin choice 2)
Unique sites:
Y 0.0000 0.2500 0.1250
Ag 0.0000 0.2500 0.6250
F 0.2236 0.0036 0.9981

Diffraction record for ZrAgF4. The X-ray powder pattern is calculated, not measured: it uses a PBE-relaxed structure and a wavelength of 1.5418 Å.

Largest 12 diffraction maxima, in order of rising 2θ, 10 to 80 degrees two-theta:
2θ (°)  intensity  h k l
26.34  100.0  1 1 -1
29.05  32.0  0 0 2
32.37  47.4  1 1 1
34.42  40.2  2 0 0
36.66  13.7  2 0 -2
38.50  25.5  0 2 0
45.88  41.6  1 1 -3
48.94  20.6  0 2 2
52.59  16.9  2 2 0
53.31  17.1  3 1 -1
57.22  15.3  1 1 3
59.96  14.0  3 1 -3

Structural model:
Unit cell a=5.5566 b=4.6772 c=6.5556 alpha=90.00 beta=110.33 gamma=90.00
Space group P2_1/c (No. 14)
Unique sites:
Zr 0.0000 0.0000 0.0000
Ag 0.5000 0.0000 0.5000
F 0.0472 0.1243 0.6977
F 0.3798 0.5848 0.6294